Entry 1:
This entry pairs a crystal structure of Ca2HgAu9 with its simulated XRD peak list. Radiation: λ = 1.5418 Å (Cu Kα). Structure: a GGA-PBE-relaxed structure.

Most intense lines, 10° ≤ 2θ ≤ 90°, low angle first:
2theta, Rel. int.
18.01, 21
18.66, 18
36.83, 37
37.22, 100
39.33, 35
39.46, 39
41.64, 29
59.86, 26
65.69, 27
79.34, 34

Structural model:
Unit cell a=5.686 b=5.686 c=18.325 alpha=90.00 beta=90.00 gamma=120.00
Positions (direct):
1 Ca 0.333 0.667 0.044
2 Ca 0.333 0.667 0.456
3 Ca 0.667 0.333 0.544
4 Ca 0.667 0.333 0.956
5 Hg 0.333 0.667 0.250
6 Hg 0.667 0.333 0.750
7 Au 0.000 0.000 0.000
8 Au 0.000 0.000 0.250
9 Au 0.000 0.000 0.500
10 Au 0.000 0.000 0.750
11 Au 0.170 0.339 0.621
12 Au 0.170 0.339 0.879
13 Au 0.170 0.830 0.621
14 Au 0.170 0.830 0.879
15 Au 0.333 0.667 0.750
16 Au 0.339 0.170 0.121
17 Au 0.339 0.170 0.379
18 Au 0.661 0.830 0.621
19 Au 0.661 0.830 0.879
20 Au 0.667 0.333 0.250
21 Au 0.830 0.170 0.121
22 Au 0.830 0.170 0.379
23 Au 0.830 0.661 0.121
24 Au 0.830 0.661 0.379

Entry 2:
This entry pairs a crystal structure of CeDyEr2Sc4 with its simulated XRD peak list. Radiation: λ = 1.5418 Å (Cu Kα). Structure: a GGA-PBE-relaxed structure.

Most intense lines, 10° ≤ 2θ ≤ 90°, low angle first:
2theta, Rel. int.
19.38, 27
25.76, 27
32.44, 100
36.75, 36
39.33, 15
41.87, 16
52.95, 12
54.92, 22
63.48, 28
66.99, 12

Structural model:
Unit cell a=4.891 b=4.891 c=9.162 alpha=90.00 beta=90.00 gamma=90.00
Positions (direct):
1 Ce 0.000 0.000 0.000
2 Dy 0.500 0.500 0.500
3 Er 0.000 0.000 0.500
4 Er 0.500 0.500 0.000
5 Sc 0.000 0.500 0.247
6 Sc 0.000 0.500 0.753
7 Sc 0.500 0.000 0.247
8 Sc 0.500 0.000 0.753

Entry 3:
This entry pairs a crystal structure of Sr3In6Pd5 with its simulated XRD peak list. Radiation: λ = 1.5418 Å (Cu Kα). Structure: a GGA-PBE-relaxed structure.

Most intense lines, 10° ≤ 2θ ≤ 90°, low angle first:
2theta, Rel. int.
32.37, 24
32.55, 100
32.70, 29
35.19, 37
37.75, 24
38.10, 27
38.58, 30
39.72, 59
41.89, 18
56.57, 19

Structural model:
Unit cell a=4.538 b=14.001 c=10.301 alpha=90.00 beta=90.00 gamma=90.00
Positions (direct):
1 Sr 0.250 0.055 0.248
2 Sr 0.250 0.445 0.248
3 Sr 0.250 0.750 0.275
4 Sr 0.750 0.250 0.725
5 Sr 0.750 0.555 0.752
6 Sr 0.750 0.945 0.752
7 In 0.250 0.067 0.585
8 In 0.250 0.250 0.031
9 In 0.250 0.250 0.414
10 In 0.250 0.433 0.585
11 In 0.250 0.595 0.986
12 In 0.250 0.905 0.986
13 In 0.750 0.095 0.014
14 In 0.750 0.405 0.014
15 In 0.750 0.567 0.415
16 In 0.750 0.750 0.586
17 In 0.750 0.750 0.969
18 In 0.750 0.933 0.415
19 Pd 0.250 0.092 0.859
20 Pd 0.250 0.408 0.859
21 Pd 0.250 0.637 0.550
22 Pd 0.250 0.750 0.793
23 Pd 0.250 0.863 0.550
24 Pd 0.750 0.137 0.450
25 Pd 0.750 0.250 0.207
26 Pd 0.750 0.363 0.450
27 Pd 0.750 0.592 0.141
28 Pd 0.750 0.908 0.141

Entry 4:
This entry pairs a crystal structure of Pr2ThIr9 with its simulated XRD peak list. Radiation: λ = 1.5418 Å (Cu Kα). Structure: a GGA-PBE-relaxed structure.

Most intense lines, 10° ≤ 2θ ≤ 90°, low angle first:
2theta, Rel. int.
32.99, 18
33.31, 21
38.81, 31
39.12, 100
39.26, 17
40.49, 28
42.33, 32
63.44, 25
69.96, 26
84.09, 25

Structural model:
Unit cell a=9.437 b=9.437 c=9.437 alpha=33.12 beta=33.12 gamma=33.12
Positions (direct):
1 Pr 0.140 0.140 0.140
2 Pr 0.860 0.860 0.860
3 Th 0.000 0.000 0.000
4 Ir 0.083 0.579 0.579
5 Ir 0.332 0.332 0.332
6 Ir 0.421 0.421 0.917
7 Ir 0.421 0.917 0.421
8 Ir 0.500 0.500 0.500
9 Ir 0.579 0.083 0.579
10 Ir 0.579 0.579 0.083
11 Ir 0.668 0.668 0.668
12 Ir 0.917 0.421 0.421

Entry 5:
This entry pairs a crystal structure of Ba2Mg2Br with its simulated XRD peak list. Radiation: λ = 1.5418 Å (Cu Kα). Structure: a GGA-PBE-relaxed structure.

Most intense lines, 10° ≤ 2θ ≤ 90°, low angle first:
2theta, Rel. int.
21.14, 33
24.43, 43
29.43, 38
29.99, 100
30.70, 34
34.25, 21
42.11, 26
52.56, 41
53.60, 25
85.57, 13

Structural model:
Unit cell a=4.292 b=4.292 c=20.698 alpha=90.00 beta=90.00 gamma=90.00
Positions (direct):
1 Ba 0.000 0.000 0.102
2 Ba 0.000 0.000 0.898
3 Ba 0.500 0.500 0.398
4 Ba 0.500 0.500 0.602
5 Mg 0.000 0.500 0.250
6 Mg 0.000 0.500 0.750
7 Mg 0.500 0.000 0.250
8 Mg 0.500 0.000 0.750
9 Br 0.000 0.000 0.500
10 Br 0.500 0.500 0.000

Entry 6:
This entry pairs a crystal structure of AcZn2Cd3 with its simulated XRD peak list. Radiation: λ = 1.5418 Å (Cu Kα). Structure: a GGA-PBE-relaxed structure.

Most intense lines, 10° ≤ 2θ ≤ 90°, low angle first:
2theta, Rel. int.
25.49, 13
29.71, 31
31.99, 100
32.95, 23
34.80, 68
39.76, 48
43.07, 31
52.57, 12
60.06, 23
67.32, 13

Structural model:
Unit cell a=8.858 b=8.858 c=8.224 alpha=114.95 beta=114.95 gamma=29.65
Positions (direct):
1 Ac 0.149 0.149 0.070
2 Ac 0.851 0.851 0.930
3 Zn 0.199 0.199 0.706
4 Zn 0.482 0.482 0.838
5 Zn 0.518 0.518 0.162
6 Zn 0.801 0.801 0.294
7 Cd 0.039 0.039 0.371
8 Cd 0.317 0.317 0.558
9 Cd 0.395 0.395 0.292
10 Cd 0.605 0.605 0.708
11 Cd 0.683 0.683 0.442
12 Cd 0.961 0.961 0.629

Entry 7:
This entry pairs a crystal structure of LiSi2Ag with its simulated XRD peak list. Radiation: λ = 1.5418 Å (Cu Kα). Structure: a GGA-PBE-relaxed structure.

Most intense lines, 10° ≤ 2θ ≤ 90°, low angle first:
2theta, Rel. int.
18.33, 97
24.95, 78
30.30, 47
32.55, 62
38.61, 100
39.10, 46
42.02, 40
45.88, 60
46.41, 28
48.58, 29

Structural model:
Unit cell a=8.760 b=2.903 c=4.930 alpha=90.00 beta=100.92 gamma=90.00
Positions (direct):
1 Li 0.000 0.000 0.000
2 Li 0.500 0.500 0.000
3 Si 0.249 0.000 0.785
4 Si 0.251 0.500 0.215
5 Si 0.749 0.500 0.785
6 Si 0.751 0.000 0.215
7 Ag 0.000 0.500 0.500
8 Ag 0.500 0.000 0.500

Entry 8:
This entry pairs a crystal structure of Na3ReO6 with its simulated XRD peak list. Radiation: λ = 1.5418 Å (Cu Kα). Structure: a GGA-PBE-relaxed structure.

Most intense lines, 10° ≤ 2θ ≤ 90°, low angle first:
2theta, Rel. int.
12.09, 21
19.04, 17
19.14, 100
21.11, 60
21.39, 18
25.79, 26
28.50, 24
28.79, 47
32.04, 16
44.42, 20

Structural model:
Unit cell a=8.419 b=8.419 c=6.046 alpha=90.00 beta=90.00 gamma=120.88
Positions (direct):
1 Na 0.081 0.919 0.500
2 Na 0.188 0.366 0.503
3 Na 0.366 0.188 0.003
4 Na 0.634 0.812 0.503
5 Na 0.812 0.634 0.003
6 Na 0.919 0.081 0.000
7 Re 0.310 0.690 0.005
8 Re 0.690 0.310 0.505
9 O 0.069 0.587 0.008
10 O 0.144 0.145 0.251
11 O 0.145 0.144 0.751
12 O 0.377 0.623 0.763
13 O 0.380 0.620 0.241
14 O 0.413 0.931 0.008
15 O 0.587 0.069 0.508
16 O 0.620 0.380 0.741
17 O 0.623 0.377 0.263
18 O 0.855 0.856 0.251
19 O 0.856 0.855 0.751
20 O 0.931 0.413 0.508

Entry 9:
This entry pairs a crystal structure of Li2PuSe3 with its simulated XRD peak list. Radiation: λ = 1.5418 Å (Cu Kα). Structure: a GGA-PBE-relaxed structure.

Most intense lines, 10° ≤ 2θ ≤ 90°, low angle first:
2theta, Rel. int.
15.13, 65
17.55, 92
23.13, 48
31.16, 46
31.76, 100
31.95, 49
39.81, 24
41.26, 23
45.67, 73
57.54, 23

Structural model:
Unit cell a=4.071 b=11.711 c=5.603 alpha=90.00 beta=90.00 gamma=90.00
Positions (direct):
1 Li 0.250 0.089 0.249
2 Li 0.250 0.411 0.249
3 Li 0.750 0.589 0.751
4 Li 0.750 0.911 0.751
5 Pu 0.250 0.750 0.251
6 Pu 0.750 0.250 0.749
7 Se 0.250 0.085 0.749
8 Se 0.250 0.415 0.749
9 Se 0.250 0.750 0.751
10 Se 0.750 0.250 0.249
11 Se 0.750 0.585 0.251
12 Se 0.750 0.915 0.251